Computed powder diffraction line list of CaSiPd for CuKα, from the PBE geometry in the Materials Project.
Kinematic intensities with the Lorentz-polarization factor, no thermal factor.

Crystal structure
```
CaSiPd
1.0
5.9128 0.0000 0.0000
0.0000 5.7687 0.0000
-3.4439 0.0000 7.0029
Ca Si Pd
4 4 4
direct
0.2027 0.1267 0.3840
0.2027 0.3733 0.8840
0.7973 0.6267 0.1160
0.7973 0.8733 0.6160
0.2155 0.6171 0.5446
0.2155 0.8829 0.0446
0.7845 0.1171 0.9554
0.7845 0.3829 0.4554
0.3868 0.6118 0.3102
0.3868 0.8882 0.8102
0.6132 0.1118 0.1898
0.6132 0.3882 0.6898
```

The 10 most intense peaks (2θ from 10° to 90°), sorted by position:
Position (°2θ)	d (Å)	intensity
16.7	5.306	78
22.2	4.009	51
28.2	3.168	52
33.6	2.667	100
34.1	2.626	59
35.8	2.510	55
36.5	2.465	55
37.9	2.371	79
40.3	2.237	95
59.2	1.562	34


Computed powder diffraction line list of Ca7MnN6 for CuKα, from the PBE geometry in the Materials Project.
Kinematic intensities with the Lorentz-polarization factor, no thermal factor.

Crystal structure
```
Ca7MnN6
1.0
11.0156 0.0000 0.0000
0.0000 6.2695 0.0000
0.0000 0.0000 12.9707
Ca Mn N
28 4 24
direct
0.0000 0.0630 0.2500
0.0000 0.9370 0.7500
0.0366 0.2318 0.5224
0.0366 0.7682 0.0224
0.2067 0.3901 0.1220
0.2067 0.6099 0.6220
0.2255 0.3587 0.8755
0.2255 0.6413 0.3755
0.2745 0.1413 0.3755
0.2745 0.8587 0.8755
0.2933 0.1099 0.6220
0.2933 0.8901 0.1220
0.4634 0.2682 0.0224
0.4634 0.7318 0.5224
0.5000 0.4370 0.7500
0.5000 0.5629 0.2500
0.5366 0.2682 0.4776
0.5366 0.7318 0.9776
0.7067 0.1099 0.8780
0.7067 0.8901 0.3780
0.7255 0.1413 0.1245
0.7255 0.8587 0.6245
0.7745 0.3587 0.6245
0.7745 0.6413 0.1245
0.7933 0.3901 0.3780
0.7933 0.6099 0.8780
0.9634 0.2318 0.9776
0.9634 0.7682 0.4776
0.0000 0.4310 0.7500
0.0000 0.5690 0.2500
0.5000 0.0690 0.2500
0.5000 0.9310 0.7500
0.0456 0.4022 0.3569
0.0456 0.5978 0.8569
0.1260 0.2623 0.7096
0.1260 0.7377 0.2096
0.1662 0.0905 0.9975
0.1662 0.9095 0.4975
0.3338 0.4095 0.4975
0.3338 0.5905 0.9975
0.3740 0.2377 0.2096
0.3740 0.7623 0.7096
0.4544 0.0978 0.8569
0.4544 0.9022 0.3569
0.5456 0.0978 0.6431
0.5456 0.9022 0.1431
0.6260 0.2377 0.2904
0.6260 0.7623 0.7904
0.6662 0.4095 0.0025
0.6662 0.5905 0.5025
0.8338 0.0905 0.5025
0.8338 0.9095 0.0025
0.8740 0.2623 0.7904
0.8740 0.7377 0.2904
0.9544 0.4022 0.1431
0.9544 0.5978 0.6431
```

The 10 most intense peaks (2θ from 10° to 90°), sorted by position:
Position (°2θ)	d (Å)	intensity
30.4	2.937	23
31.7	2.822	15
32.0	2.794	100
32.5	2.754	30
35.7	2.512	36
36.3	2.474	60
38.4	2.346	16
43.3	2.088	15
46.0	1.971	16
46.2	1.966	15


Computed powder diffraction line list of Nd2GaNi2 for CuKα, from the PBE geometry in the Materials Project.
Kinematic intensities with the Lorentz-polarization factor, no thermal factor.

Crystal structure
```
Nd2GaNi2
1.0
-2.1274 2.7828 4.2535
2.1274 -2.7828 4.2535
2.1274 2.7828 -4.2535
Nd Ga Ni
2 1 2
direct
0.2066 0.2066 0.0000
0.7934 0.7934 0.0000
0.5000 0.0000 0.5000
0.2222 0.5000 0.7222
0.7778 0.5000 0.2778
```

The 10 most intense peaks (2θ from 10° to 90°), sorted by position:
Position (°2θ)	d (Å)	intensity
26.4	3.380	30
33.9	2.646	100
35.5	2.527	25
38.1	2.360	22
38.7	2.329	26
40.1	2.246	40
42.5	2.127	40
56.6	1.627	19
58.4	1.579	16
68.3	1.374	26


Computed powder diffraction line list of ScSb3Pb4O13 for CuKα, from the PBE geometry in the Materials Project.
Kinematic intensities with the Lorentz-polarization factor, no thermal factor.

Crystal structure
```
ScSb3Pb4O13
1.0
3.7897 2.1880 6.1870
-3.7897 2.1880 6.1870
0.0000 -4.3759 6.1870
Sc Sb Pb O
1 3 4 13
direct
0.0000 0.0000 0.0000
0.0000 0.0000 0.5012
0.0000 0.5012 0.0000
0.5012 0.0000 0.0000
0.0028 0.5000 0.5000
0.5000 0.0028 0.5000
0.5000 0.5000 0.0028
0.4998 0.4998 0.4998
0.0725 0.0725 0.6681
0.0725 0.6681 0.0725
0.0744 0.6807 0.6807
0.3223 0.3223 0.9249
0.3223 0.9249 0.3223
0.3363 0.9261 0.9261
0.6245 0.6245 0.6245
0.6681 0.0725 0.0725
0.6807 0.0744 0.6807
0.6807 0.6807 0.0744
0.9249 0.3223 0.3223
0.9261 0.3363 0.9261
0.9261 0.9261 0.3363
```

The 10 most intense peaks (2θ from 10° to 90°), sorted by position:
Position (°2θ)	d (Å)	intensity
14.3	6.188	10
28.9	3.094	100
33.4	2.679	38
36.5	2.459	9
48.0	1.895	44
57.0	1.616	45
59.8	1.547	12
77.7	1.229	19
80.1	1.198	17
89.6	1.094	14